MgTe3WO12: calculated X-ray diffraction stick pattern (a wavelength of 1.5418 Å), based on DFT lattice parameters and positions (PBE+U).

Atomic structure:
```
data_MgTe3WO12
_symmetry_space_group_name_H-M 'P 1 2 1'
_symmetry_Int_Tables_number 3
_cell_length_a 5.2023
_cell_length_b 8.7303
_cell_length_c 5.2869
_cell_angle_alpha 90.00
_cell_angle_beta 91.94
_cell_angle_gamma 90.00
loop_
_symmetry_equiv_pos_as_xyz
'x,y,z'
'-x,y,-z'
loop_
_atom_site_label
_atom_site_type_symbol
_atom_site_fract_x
_atom_site_fract_y
_atom_site_fract_z
_atom_site_occupancy
Mg1 Mg 0.0000 0.0000 0.0000 1
Te1 Te 0.0000 0.2144 0.5000 1
Te2 Te 0.0000 0.3967 0.0000 1
Te3 Te 0.5000 0.8960 0.5000 1
W1 W 0.5000 0.7000 0.0000 1
O1 O 0.1900 0.3805 0.6884 1
O2 O 0.1948 0.0603 0.6769 1
O3 O 0.2044 0.2286 0.1849 1
O4 O 0.2529 0.5454 0.1079 1
O5 O 0.2799 0.8593 0.1509 1
O6 O 0.3135 0.7287 0.6822 1
```

Largest 12 diffraction maxima, sorted by position, 10° ≤ 2θ ≤ 80°:
hkl	two_theta	I/Imax
0 1 1	19.6	40
1 1 0	19.9	100
1 2 -1	31.3	35
1 2 1	32.0	34
0 0 2	33.9	13
0 3 1	35.2	20
1 1 -2	39.1	16
1 1 2	40.2	13
2 3 -1	49.7	13
2 3 1	50.6	14
1 5 0	55.5	9
0 3 3	61.5	9

---

MgCu2W2O6F4: calculated X-ray diffraction stick pattern (a wavelength of 1.5418 Å), based on DFT lattice parameters and positions (PBE+U).

Atomic structure:
```
data_MgCu2W2O6F4
_symmetry_space_group_name_H-M 'P 1'
_symmetry_Int_Tables_number 1
_cell_length_a 3.8660
_cell_length_b 5.7071
_cell_length_c 10.3453
_cell_angle_alpha 91.24
_cell_angle_beta 90.02
_cell_angle_gamma 109.72
loop_
_symmetry_equiv_pos_as_xyz
'x,y,z'
loop_
_atom_site_label
_atom_site_type_symbol
_atom_site_fract_x
_atom_site_fract_y
_atom_site_fract_z
_atom_site_occupancy
Mg1 Mg 0.0000 0.0000 0.0000 1
Cu1 Cu 0.2947 0.5878 0.9792 1
Cu2 Cu 0.3224 0.6442 0.4841 1
W1 W 0.0743 0.1508 0.7133 1
W2 W 0.5441 0.0883 0.2310 1
O1 O 0.0520 0.1041 0.2038 1
O2 O 0.1455 0.2927 0.8836 1
O3 O 0.2067 0.4160 0.6130 1
O4 O 0.4205 0.8398 0.3424 1
O5 O 0.4529 0.9053 0.0622 1
O6 O 0.5530 0.1076 0.7144 1
F1 F 0.6700 0.3404 0.3667 1
F2 F 0.6973 0.3966 0.1189 1
F3 F 0.9121 0.8243 0.8332 1
F4 F 0.9438 0.8883 0.5763 1
```

Largest 12 diffraction maxima, sorted by position, 10° ≤ 2θ ≤ 80°:
hkl	two_theta	I/Imax
0 1 0	16.5	67
0 0 2	17.1	40
0 1 -2	23.6	94
0 1 2	24.2	92
1 0 -1	25.9	92
1 0 1	26.0	100
0 2 0	33.4	22
0 0 4	34.7	29
-1 1 3	36.0	23
1 -2 2	38.2	23
2 -1 0	47.0	29
0 2 4	49.5	28

---

LiMnH2OF4: calculated X-ray diffraction stick pattern (a wavelength of 1.5418 Å), based on DFT lattice parameters and positions (PBE+U).

Atomic structure:
```
data_LiMnH2OF4
_symmetry_space_group_name_H-M 'P n m a'
_symmetry_Int_Tables_number 62
_cell_length_a 5.4337
_cell_length_b 12.4910
_cell_length_c 5.5154
_cell_angle_alpha 90.00
_cell_angle_beta 90.00
_cell_angle_gamma 90.00
loop_
_symmetry_equiv_pos_as_xyz
'x,y,z'
'-x,-y,-z'
'-x+1/2,-y,z+1/2'
'x+1/2,y,-z+1/2'
'x+1/2,-y+1/2,-z+1/2'
'-x+1/2,y+1/2,z+1/2'
'-x,y+1/2,-z'
'x,-y+1/2,z'
loop_
_atom_site_label
_atom_site_type_symbol
_atom_site_fract_x
_atom_site_fract_y
_atom_site_fract_z
_atom_site_occupancy
Li1 Li 0.2179 0.2500 0.2345 1
Mn1 Mn 0.0000 0.0000 0.5000 1
H1 H 0.0851 0.6869 0.1318 1
O1 O 0.0395 0.7500 0.0369 1
F1 F 0.0324 0.6412 0.6064 1
F2 F 0.2188 0.5425 0.1843 1
```

Largest 12 diffraction maxima, sorted by position, 10° ≤ 2θ ≤ 80°:
hkl	two_theta	I/Imax
0 2 0	14.2	91
1 0 1	23.0	78
1 2 1	27.1	100
0 4 0	28.6	19
2 0 0	33.0	16
1 1 2	37.3	15
2 3 1	43.0	14
2 0 2	46.9	27
1 6 1	49.7	30
1 2 3	54.7	16
3 2 1	55.4	17
2 4 2	55.9	16

---

RbAlFe2F2: calculated X-ray diffraction stick pattern (a wavelength of 1.5418 Å), based on DFT lattice parameters and positions (PBE+U).

Atomic structure:
```
data_RbAlFe2F2
_symmetry_space_group_name_H-M 'P 4/m b m'
_symmetry_Int_Tables_number 127
_symmetry_space_group_name_Hall '-P 4 2ab'
_cell_length_a 6.9780
_cell_length_b 6.9780
_cell_length_c 6.7088
_cell_angle_alpha 90.00
_cell_angle_beta 90.00
_cell_angle_gamma 90.00
loop_
_atom_site_label
_atom_site_type_symbol
_atom_site_fract_x
_atom_site_fract_y
_atom_site_fract_z
_atom_site_occupancy
Rb1 Rb 0.0000 0.5000 0.0000 1
Al1 Al 0.0000 0.0000 0.5000 1
Fe1 Fe 0.2307 0.2693 0.5000 1
F1 F 0.0000 0.0000 0.2269 1
```

Largest 12 diffraction maxima, sorted by position, 10° ≤ 2θ ≤ 80°:
hkl	two_theta	I/Imax
0 0 1	13.2	17
1 1 1	22.4	66
0 0 2	26.6	36
2 0 1	28.8	100
1 1 2	32.3	23
2 2 0	36.4	57
3 1 1	43.2	25
2 2 2	45.6	30
2 0 3	48.3	18
4 0 0	52.5	17
4 2 1	61.0	18
2 2 4	67.5	15

---

CrO2: calculated X-ray diffraction stick pattern (a wavelength of 1.5418 Å), based on DFT lattice parameters and positions (PBE+U).

Atomic structure:
```
data_CrO2
_symmetry_space_group_name_H-M 'P n n m'
_symmetry_Int_Tables_number 58
_cell_length_a 4.4481
_cell_length_b 4.5292
_cell_length_c 2.9860
_cell_angle_alpha 90.00
_cell_angle_beta 90.00
_cell_angle_gamma 90.00
loop_
_symmetry_equiv_pos_as_xyz
'x,y,z'
'-x,-y,-z'
'-x,-y,z'
'x,y,-z'
'x+1/2,-y+1/2,-z+1/2'
'-x+1/2,y+1/2,z+1/2'
'-x+1/2,y+1/2,-z+1/2'
'x+1/2,-y+1/2,z+1/2'
loop_
_atom_site_label
_atom_site_type_symbol
_atom_site_fract_x
_atom_site_fract_y
_atom_site_fract_z
_atom_site_occupancy
Cr1 Cr 0.0000 0.0000 0.0000 1
O1 O 0.2070 0.1898 0.5000 1
```

Largest 12 diffraction maxima, sorted by position, 10° ≤ 2θ ≤ 80°:
hkl	two_theta	I/Imax
1 1 0	28.1	100
0 1 1	36.0	26
1 0 1	36.2	30
0 2 0	39.8	5
1 1 1	41.5	16
1 2 1	54.9	28
2 1 1	55.4	31
2 2 0	58.1	17
0 0 2	62.2	9
1 1 2	69.6	11
0 3 1	69.8	11
3 0 1	71.0	9

---

Na3W4O6: calculated X-ray diffraction stick pattern (a wavelength of 1.5418 Å), based on DFT lattice parameters and positions (PBE+U).

Atomic structure:
```
data_Na3W4O6
_symmetry_space_group_name_H-M 'I m m 2'
_symmetry_Int_Tables_number 44
_cell_length_a 7.7385
_cell_length_b 8.0469
_cell_length_c 6.5788
_cell_angle_alpha 90.00
_cell_angle_beta 90.00
_cell_angle_gamma 90.00
loop_
_symmetry_equiv_pos_as_xyz
'x,y,z'
'-x,-y,z'
'-x,y,z'
'x,-y,z'
'x+1/2,y+1/2,z+1/2'
'-x+1/2,-y+1/2,z+1/2'
'-x+1/2,y+1/2,z+1/2'
'x+1/2,-y+1/2,z+1/2'
loop_
_atom_site_label
_atom_site_type_symbol
_atom_site_fract_x
_atom_site_fract_y
_atom_site_fract_z
_atom_site_occupancy
Na1 Na 0.0000 0.0000 0.0000 1
Na2 Na 0.0000 0.0000 0.4637 1
Na3 Na 0.0000 0.5000 0.4528 1
W1 W 0.2391 0.2503 0.7292 1
O1 O 0.0000 0.2421 0.2283 1
O2 O 0.2075 0.0000 0.7371 1
O3 O 0.2187 0.5000 0.7196 1
```

Largest 12 diffraction maxima, sorted by position, 10° ≤ 2θ ≤ 80°:
hkl	two_theta	I/Imax
0 2 0	22.1	91
2 0 0	23.0	100
0 0 2	27.1	85
2 2 0	32.1	93
0 2 2	35.2	87
2 0 2	35.8	95
2 2 2	42.5	57
0 4 0	45.1	30
0 4 2	53.4	26
2 4 2	58.9	45
4 2 2	60.1	38
2 2 4	65.9	25

---

CrSi2O6: calculated X-ray diffraction stick pattern (a wavelength of 1.5418 Å), based on DFT lattice parameters and positions (PBE+U).

Atomic structure:
```
data_CrSi2O6
_symmetry_space_group_name_H-M 'C 1 2/c 1'
_symmetry_Int_Tables_number 15
_cell_length_a 9.6393
_cell_length_b 8.7499
_cell_length_c 5.3387
_cell_angle_alpha 90.00
_cell_angle_beta 110.73
_cell_angle_gamma 90.00
loop_
_symmetry_equiv_pos_as_xyz
'x,y,z'
'-x,-y,-z'
'-x,y,-z+1/2'
'x,-y,z+1/2'
'x+1/2,y+1/2,z'
'-x+1/2,-y+1/2,-z'
'-x+1/2,y+1/2,-z+1/2'
'x+1/2,-y+1/2,z+1/2'
loop_
_atom_site_label
_atom_site_type_symbol
_atom_site_fract_x
_atom_site_fract_y
_atom_site_fract_z
_atom_site_occupancy
Cr1 Cr 0.0000 0.1016 0.2500 1
Si1 Si 0.1991 0.4147 0.2551 1
O1 O 0.1147 0.0693 0.6274 1
O2 O 0.1407 0.2395 0.2211 1
O3 O 0.1412 0.4950 0.9635 1
```

Largest 12 diffraction maxima, sorted by position, 10° ≤ 2θ ≤ 80°:
hkl	two_theta	I/Imax
1 1 0	14.1	49
1 1 -1	19.8	81
0 2 0	20.3	52
1 1 1	25.4	37
2 2 -1	29.6	100
3 1 0	31.5	66
0 0 2	36.0	32
2 2 1	37.4	23
1 1 2	42.1	21
2 4 -1	46.9	19
5 3 -1	57.3	18
7 1 -2	70.2	15